Structure and simulated powder diffraction line list of Mg3H5Ir2 (a DFT-relaxed cell (PBE, Alexandria); Cu Kα, 1.54184 Å).
No peak broadening, texture or thermal motion is included.

Top 10 peaks for 2θ from 5° to 70°, in order of rising 2θ:
2θ (°)	I_rel	(hkl)
11.71	47	0 0 1
20.35	91	1 0 -1
23.54	70	0 0 2
24.79	63	1 0 1
29.92	39	0 1 0
35.63	32	0 0 3
36.45	48	1 1 -1
38.43	77	2 0 -1
39.24	100	1 1 1
40.82	51	1 1 -2

```
data_Mg3H5Ir2
_cell_length_a 4.6992
_cell_length_b 2.9869
_cell_length_c 7.7438
_cell_angle_alpha 90.00
_cell_angle_beta 102.51
_cell_angle_gamma 90.00
_space_group_name_H-M_alt 'P 1 m 1'
_space_group_IT_number 6
loop_
_space_group_symop_operation_xyz
'x,y,z'
'x,-y,z'
loop_
_atom_site_label
_atom_site_fract_x
_atom_site_fract_y
_atom_site_fract_z
Mg1 0.0000 0.0000 0.0000
Mg2 0.2013 0.0000 0.6425
Mg3 0.6319 0.0000 0.3561
H1 0.3283 0.5000 0.1516
H2 0.4242 0.5000 0.4871
H3 0.6104 0.0000 0.8079
H4 0.8006 0.5000 0.1560
H5 0.9327 0.5000 0.4751
Ir1 0.1185 0.5000 0.3050
Ir2 0.7339 0.5000 0.7153
```

=====

Structure and simulated powder diffraction line list of MgH2Ir5 (a DFT-relaxed cell (PBE, Alexandria); Cu Kα, 1.54184 Å).
No peak broadening, texture or thermal motion is included.

Top 10 peaks for 2θ from 5° to 70°, in order of rising 2θ:
2θ (°)	I_rel	(hkl)
16.90	27	0 0 1
21.64	83	0 1 0
34.17	23	0 0 2
38.50	57	1 0 -2
38.68	97	1 2 0
40.81	78	2 1 0
44.10	27	0 2 0
44.33	97	1 0 2
44.84	100	1 2 2
46.64	34	2 0 0

```
data_MgH2Ir5
_cell_length_a 4.4228
_cell_length_b 4.8459
_cell_length_c 5.5108
_cell_angle_alpha 74.19
_cell_angle_beta 89.90
_cell_angle_gamma 62.87
_space_group_name_H-M_alt 'P 1'
_space_group_IT_number 1
loop_
_space_group_symop_operation_xyz
'x,y,z'
loop_
_atom_site_label
_atom_site_fract_x
_atom_site_fract_y
_atom_site_fract_z
Mg1 0.0000 0.0000 0.0000
H1 0.3758 0.0026 0.4025
H2 0.4983 0.0019 0.9909
Ir1 0.2819 0.4386 0.8840
Ir2 0.2978 0.4121 0.4075
Ir3 0.7074 0.5944 0.5942
Ir4 0.7191 0.5663 0.1117
Ir5 0.9875 0.0062 0.4992
```

=====

Repeat the first record exactly.
Structure and simulated powder diffraction line list of Mg3H5Ir2 (a DFT-relaxed cell (PBE, Alexandria); Cu Kα, 1.54184 Å).
No peak broadening, texture or thermal motion is included.

Top 10 peaks for 2θ from 5° to 70°, in order of rising 2θ:
2θ (°)	I_rel	(hkl)
11.71	47	0 0 1
20.35	91	1 0 -1
23.54	70	0 0 2
24.79	63	1 0 1
29.92	39	0 1 0
35.63	32	0 0 3
36.45	48	1 1 -1
38.43	77	2 0 -1
39.24	100	1 1 1
40.82	51	1 1 -2

```
data_Mg3H5Ir2
_cell_length_a 4.6992
_cell_length_b 2.9869
_cell_length_c 7.7438
_cell_angle_alpha 90.00
_cell_angle_beta 102.51
_cell_angle_gamma 90.00
_space_group_name_H-M_alt 'P 1 m 1'
_space_group_IT_number 6
loop_
_space_group_symop_operation_xyz
'x,y,z'
'x,-y,z'
loop_
_atom_site_label
_atom_site_fract_x
_atom_site_fract_y
_atom_site_fract_z
Mg1 0.0000 0.0000 0.0000
Mg2 0.2013 0.0000 0.6425
Mg3 0.6319 0.0000 0.3561
H1 0.3283 0.5000 0.1516
H2 0.4242 0.5000 0.4871
H3 0.6104 0.0000 0.8079
H4 0.8006 0.5000 0.1560
H5 0.9327 0.5000 0.4751
Ir1 0.1185 0.5000 0.3050
Ir2 0.7339 0.5000 0.7153
```

=====

Please write out number 1 again, unchanged.
Structure and simulated powder diffraction line list of Mg3H5Ir2 (a DFT-relaxed cell (PBE, Alexandria); Cu Kα, 1.54184 Å).
No peak broadening, texture or thermal motion is included.

Top 10 peaks for 2θ from 5° to 70°, in order of rising 2θ:
2θ (°)	I_rel	(hkl)
11.71	47	0 0 1
20.35	91	1 0 -1
23.54	70	0 0 2
24.79	63	1 0 1
29.92	39	0 1 0
35.63	32	0 0 3
36.45	48	1 1 -1
38.43	77	2 0 -1
39.24	100	1 1 1
40.82	51	1 1 -2

```
data_Mg3H5Ir2
_cell_length_a 4.6992
_cell_length_b 2.9869
_cell_length_c 7.7438
_cell_angle_alpha 90.00
_cell_angle_beta 102.51
_cell_angle_gamma 90.00
_space_group_name_H-M_alt 'P 1 m 1'
_space_group_IT_number 6
loop_
_space_group_symop_operation_xyz
'x,y,z'
'x,-y,z'
loop_
_atom_site_label
_atom_site_fract_x
_atom_site_fract_y
_atom_site_fract_z
Mg1 0.0000 0.0000 0.0000
Mg2 0.2013 0.0000 0.6425
Mg3 0.6319 0.0000 0.3561
H1 0.3283 0.5000 0.1516
H2 0.4242 0.5000 0.4871
H3 0.6104 0.0000 0.8079
H4 0.8006 0.5000 0.1560
H5 0.9327 0.5000 0.4751
Ir1 0.1185 0.5000 0.3050
Ir2 0.7339 0.5000 0.7153
```